Sm5Ag2Sn4: simulated PXRD pattern (a wavelength of 1.5418 Å), based on a structure optimized by DFT (PBE).

Main lines, sorted by position (5 to 70 degrees two-theta):
- 26.45 deg, 3.370 Å, rel. 78
- 28.39 deg, 3.144 Å, rel. 40
- 28.97 deg, 3.082 Å, rel. 51
- 30.89 deg, 2.895 Å, rel. 54
- 31.37 deg, 2.851 Å, rel. 78
- 32.37 deg, 2.766 Å, rel. 77
- 34.26 deg, 2.617 Å, rel. 35
- 36.74 deg, 2.446 Å, rel. 100
- 37.17 deg, 2.419 Å, rel. 66
- 42.32 deg, 2.136 Å, rel. 90

```
11
Lattice="12.353 -1.701 0.000 12.353 1.701 0.000 -0.234 0.000 7.680" Properties=species:S:1:pos:R:3 pbc="T T T"
Sm 0.000 0.000 0.000
Sm 7.965 0.000 3.872
Sm 8.710 0.000 0.008
Sm 15.760 0.000 7.672
Sm 16.505 0.000 3.808
Ag 10.735 0.000 5.342
Ag 13.735 0.000 2.338
Sn 5.699 0.000 6.069
Sn 10.847 0.000 2.437
Sn 13.624 0.000 5.243
Sn 18.772 0.000 1.611
```

TbSm2Ag2Sn2: simulated PXRD pattern (a wavelength of 1.5418 Å), based on a structure optimized by DFT (PBE).

Main lines, sorted by position (5 to 70 degrees two-theta):
- 21.38 deg, 4.155 Å, rel. 6
- 31.83 deg, 2.811 Å, rel. 100
- 34.50 deg, 2.600 Å, rel. 18
- 37.01 deg, 2.429 Å, rel. 84
- 49.60 deg, 1.838 Å, rel. 29
- 53.14 deg, 1.723 Å, rel. 11
- 63.46 deg, 1.466 Å, rel. 27
- 65.09 deg, 1.433 Å, rel. 6
- 65.40 deg, 1.427 Å, rel. 11
- 66.69 deg, 1.403 Å, rel. 15

```
7
Lattice="2.429 1.403 8.816 -2.429 1.403 8.816 0.000 -2.805 8.816" Properties=species:S:1:pos:R:3 pbc="T T T"
Tb 0.000 0.000 0.000
Sm 0.000 0.000 3.536
Sm 0.000 0.000 22.912
Ag 0.000 0.000 11.267
Ag 0.000 0.000 15.181
Sn 0.000 0.000 7.077
Sn 0.000 0.000 19.371
```

SrSm2Ag6: simulated PXRD pattern (a wavelength of 1.5418 Å), based on a structure optimized by DFT (PBE).

Main lines, sorted by position (5 to 70 degrees two-theta):
- 12.25 deg, 7.227 Å, rel. 4
- 24.45 deg, 3.640 Å, rel. 6
- 32.65 deg, 2.743 Å, rel. 100
- 37.33 deg, 2.409 Å, rel. 74
- 45.13 deg, 2.009 Å, rel. 6
- 50.12 deg, 1.820 Å, rel. 10
- 50.42 deg, 1.810 Å, rel. 29
- 64.13 deg, 1.452 Å, rel. 29
- 64.38 deg, 1.447 Å, rel. 27
- 67.32 deg, 1.391 Å, rel. 12

```
9
Lattice="8.345 0.000 0.000 -4.173 7.227 0.000 0.000 0.000 3.640" Properties=species:S:1:pos:R:3 pbc="T T T"
Sr 0.000 0.000 0.000
Sm 0.000 4.818 0.000
Sm 4.173 2.409 0.000
Ag -1.402 2.428 1.820
Ag -2.771 4.799 1.820
Ag 2.803 0.000 1.820
Ag 1.402 2.428 1.820
Ag 5.542 0.000 1.820
Ag 2.771 4.799 1.820
```

Tb2SmAg2: simulated PXRD pattern (a wavelength of 1.5418 Å), based on a structure optimized by DFT (PBE).

Main lines, sorted by position (5 to 70 degrees two-theta):
- 26.60 deg, 3.351 Å, rel. 29
- 28.79 deg, 3.101 Å, rel. 100
- 30.35 deg, 2.945 Å, rel. 66
- 30.58 deg, 2.924 Å, rel. 43
- 31.00 deg, 2.885 Å, rel. 31
- 34.17 deg, 2.624 Å, rel. 37
- 34.38 deg, 2.608 Å, rel. 21
- 36.50 deg, 2.462 Å, rel. 66
- 39.94 deg, 2.258 Å, rel. 26
- 50.86 deg, 1.795 Å, rel. 24

```
10
Lattice="5.271 0.000 0.000 0.000 4.924 0.000 -1.042 0.000 11.023" Properties=species:S:1:pos:R:3 pbc="T T T"
Tb 0.723 1.231 1.239
Tb 0.791 3.693 5.584
Tb 3.438 1.231 5.439
Tb 3.506 3.693 9.785
Sm 0.802 1.231 8.337
Sm 3.427 3.693 2.686
Ag 0.797 1.231 4.042
Ag 0.847 3.693 10.954
Ag 3.382 1.231 0.069
Ag 3.432 3.693 6.982
```

Tb4SmAg5: simulated PXRD pattern (a wavelength of 1.5418 Å), based on a structure optimized by DFT (PBE).

Main lines, sorted by position (5 to 70 degrees two-theta):
- 23.91 deg, 3.721 Å, rel. 2
- 24.49 deg, 3.635 Å, rel. 3
- 34.49 deg, 2.600 Å, rel. 100
- 34.91 deg, 2.570 Å, rel. 49
- 42.76 deg, 2.115 Å, rel. 2
- 48.96 deg, 1.861 Å, rel. 9
- 50.20 deg, 1.817 Å, rel. 17
- 55.48 deg, 1.656 Å, rel. 1
- 61.53 deg, 1.507 Å, rel. 18
- 62.33 deg, 1.490 Å, rel. 35

```
10
Lattice="3.635 0.000 0.000 0.000 3.635 0.000 0.000 0.000 18.606" Properties=species:S:1:pos:R:3 pbc="T T T"
Tb 0.000 0.000 1.848
Tb 0.000 0.000 5.540
Tb 0.000 0.000 13.066
Tb 0.000 0.000 16.758
Sm 0.000 0.000 9.303
Ag 1.817 1.817 0.000
Ag 1.817 1.817 3.695
Ag 1.817 1.817 7.354
Ag 1.817 1.817 11.252
Ag 1.817 1.817 14.911
```

TbSmAg2Te4: simulated PXRD pattern (a wavelength of 1.5418 Å), based on a structure optimized by DFT (PBE).

Main lines, sorted by position (5 to 70 degrees two-theta):
- 14.00 deg, 6.325 Å, rel. 15
- 14.64 deg, 6.049 Å, rel. 12
- 23.06 deg, 3.857 Å, rel. 100
- 29.47 deg, 3.031 Å, rel. 14
- 29.64 deg, 3.014 Å, rel. 14
- 33.80 deg, 2.652 Å, rel. 38
- 36.95 deg, 2.433 Å, rel. 45
- 43.89 deg, 2.063 Å, rel. 16
- 44.12 deg, 2.053 Å, rel. 14
- 46.97 deg, 1.935 Å, rel. 14

```
16
Lattice="6.858 0.000 0.000 0.000 6.906 0.000 0.000 0.000 12.650" Properties=species:S:1:pos:R:3 pbc="T T T"
Tb 0.000 0.000 0.000
Tb 3.429 3.453 6.325
Sm 0.000 0.000 6.325
Sm 3.429 3.453 0.000
Ag 0.000 3.453 4.825
Ag 0.000 3.453 7.825
Ag 3.429 0.000 1.500
Ag 3.429 0.000 11.150
Te 1.518 1.879 10.898
Te 1.518 5.027 1.752
Te 1.911 1.574 4.573
Te 1.911 5.332 8.077
Te 4.947 1.574 8.077
Te 4.947 5.332 4.573
Te 5.340 1.879 1.752
Te 5.340 5.027 10.898
```

Sm8TcAg2: simulated PXRD pattern (a wavelength of 1.5418 Å), based on a structure optimized by DFT (PBE).

Main lines, sorted by position (5 to 70 degrees two-theta):
- 28.52 deg, 3.129 Å, rel. 19
- 29.04 deg, 3.075 Å, rel. 14
- 29.69 deg, 3.009 Å, rel. 54
- 31.80 deg, 2.814 Å, rel. 100
- 32.77 deg, 2.733 Å, rel. 55
- 35.53 deg, 2.527 Å, rel. 27
- 35.77 deg, 2.510 Å, rel. 13
- 37.06 deg, 2.426 Å, rel. 16
- 38.22 deg, 2.355 Å, rel. 18
- 54.34 deg, 1.688 Å, rel. 13

```
11
Lattice="4.032 -7.902 0.000 4.032 7.902 0.000 -3.741 0.000 5.097" Properties=species:S:1:pos:R:3 pbc="T T T"
Sm 0.000 0.000 0.000
Sm 2.228 6.016 2.889
Sm 3.215 1.771 1.162
Sm 1.147 0.000 3.387
Sm 2.489 3.011 4.577
Sm 3.215 -1.771 1.162
Sm 2.489 -3.011 4.577
Sm 2.228 -6.016 2.889
Tc 5.561 0.000 0.884
Ag 0.637 3.322 1.823
Ag 0.637 -3.322 1.823
```

Sm3AgTe: simulated PXRD pattern (a wavelength of 1.5418 Å), based on a structure optimized by DFT (PBE).

Main lines, sorted by position (5 to 70 degrees two-theta):
- 16.69 deg, 5.313 Å, rel. 15
- 26.44 deg, 3.371 Å, rel. 42
- 33.74 deg, 2.656 Å, rel. 9
- 33.87 deg, 2.646 Å, rel. 100
- 41.51 deg, 2.175 Å, rel. 9
- 42.31 deg, 2.136 Å, rel. 9
- 46.68 deg, 1.946 Å, rel. 25
- 50.58 deg, 1.804 Å, rel. 9
- 58.90 deg, 1.568 Å, rel. 17
- 64.81 deg, 1.439 Å, rel. 12

```
10
Lattice="3.371 1.946 8.546 -3.371 1.946 8.546 0.000 -3.892 8.546" Properties=species:S:1:pos:R:3 pbc="T T T"
Sm -1.237 -1.716 10.896
Sm -0.868 -1.929 14.741
Sm -0.868 1.929 10.896
Sm -1.237 1.716 14.741
Sm 2.105 -0.213 10.896
Sm 2.105 0.213 14.741
Ag 0.000 0.000 3.989
Ag 0.000 0.000 21.648
Te 0.000 0.000 8.527
Te 0.000 0.000 17.109
```

Sm2TmAgTe5: simulated PXRD pattern (a wavelength of 1.5418 Å), based on a structure optimized by DFT (PBE).

Main lines, sorted by position (5 to 70 degrees two-theta):
- 24.93 deg, 3.572 Å, rel. 23
- 29.19 deg, 3.059 Å, rel. 100
- 29.35 deg, 3.044 Å, rel. 45
- 34.33 deg, 2.612 Å, rel. 74
- 37.63 deg, 2.390 Å, rel. 20
- 40.09 deg, 2.249 Å, rel. 14
- 40.82 deg, 2.210 Å, rel. 19
- 41.50 deg, 2.176 Å, rel. 34
- 51.64 deg, 1.770 Å, rel. 19
- 59.61 deg, 1.551 Å, rel. 13

```
18
Lattice="2.176 -9.381 0.000 2.176 9.381 0.000 0.000 0.000 13.258" Properties=species:S:1:pos:R:3 pbc="T T T"
Sm 2.176 7.296 6.629
Sm 2.176 7.017 1.551
Sm 2.176 -7.017 8.180
Sm 2.176 -7.296 0.000
Tm 2.176 5.785 10.902
Tm 2.176 -5.785 4.273
Ag 2.176 1.296 3.636
Ag 2.176 -1.296 10.265
Te 2.176 8.585 11.828
Te 2.176 4.022 6.368
Te 2.176 3.657 2.045
Te 2.176 2.708 10.768
Te 2.176 0.028 7.865
Te 2.176 -0.028 1.237
Te 2.176 -2.708 4.139
Te 2.176 -3.657 8.673
Te 2.176 -4.022 12.997
Te 2.176 -8.585 5.199
```

Sm8Tl5Ag: simulated PXRD pattern (a wavelength of 1.5418 Å), based on a structure optimized by DFT (PBE).

Main lines, sorted by position (5 to 70 degrees two-theta):
- 29.71 deg, 3.007 Å, rel. 47
- 29.87 deg, 2.991 Å, rel. 100
- 35.41 deg, 2.535 Å, rel. 67
- 35.51 deg, 2.528 Å, rel. 32
- 42.74 deg, 2.116 Å, rel. 18
- 44.87 deg, 2.020 Å, rel. 18
- 47.03 deg, 1.932 Å, rel. 14
- 48.98 deg, 1.860 Å, rel. 19
- 60.30 deg, 1.535 Å, rel. 29
- 63.58 deg, 1.463 Å, rel. 15

```
14
Lattice="-4.728 4.728 4.757 4.728 -4.728 4.757 4.728 4.728 -4.757" Properties=species:S:1:pos:R:3 pbc="T T T"
Sm 4.055 3.004 -2.843
Sm 4.007 1.674 0.507
Sm 3.053 -0.720 4.250
Sm 0.673 1.724 1.913
Sm 1.674 5.448 -0.507
Sm 1.724 -0.673 7.600
Sm 3.004 5.400 2.843
Sm 0.720 3.053 5.264
Tl -2.369 3.559 5.928
Tl 1.168 2.359 -1.171
Tl 7.097 1.168 1.171
Tl 0.000 0.000 4.757
Tl 3.559 2.369 3.586
Ag 0.000 4.728 2.378
```

Sm2TlAg3: simulated PXRD pattern (a wavelength of 1.5418 Å), based on a structure optimized by DFT (PBE).

Main lines, sorted by position (5 to 70 degrees two-theta):
- 33.69 deg, 2.660 Å, rel. 100
- 36.28 deg, 2.476 Å, rel. 59
- 36.54 deg, 2.459 Å, rel. 29
- 50.24 deg, 1.816 Å, rel. 11
- 50.50 deg, 1.807 Å, rel. 21
- 63.53 deg, 1.464 Å, rel. 10
- 63.70 deg, 1.461 Å, rel. 11
- 63.98 deg, 1.455 Å, rel. 10
- 65.60 deg, 1.423 Å, rel. 10
- 66.80 deg, 1.400 Å, rel. 19

```
12
Lattice="0.000 4.919 8.597 3.396 0.000 8.597 3.396 4.919 0.000" Properties=species:S:1:pos:R:3 pbc="T T T"
Sm 5.129 4.919 8.597
Sm 1.698 2.459 4.298
Sm 5.094 7.378 12.895
Sm 1.663 4.919 8.597
Tl 3.396 4.919 5.734
Tl 3.396 4.919 11.459
Ag 3.396 4.919 2.839
Ag 3.396 2.428 7.192
Ag 3.396 2.428 10.002
Ag 3.396 7.409 7.192
Ag 3.396 7.409 10.002
Ag 3.396 4.919 14.355
```

Sm3Tl3Ag: simulated PXRD pattern (a wavelength of 1.5418 Å), based on a structure optimized by DFT (PBE).

Main lines, sorted by position (5 to 70 degrees two-theta):
- 29.34 deg, 3.044 Å, rel. 47
- 29.91 deg, 2.987 Å, rel. 97
- 30.94 deg, 2.891 Å, rel. 53
- 34.30 deg, 2.615 Å, rel. 47
- 36.33 deg, 2.473 Å, rel. 100
- 36.87 deg, 2.438 Å, rel. 39
- 38.33 deg, 2.348 Å, rel. 58
- 50.07 deg, 1.822 Å, rel. 41
- 54.24 deg, 1.691 Å, rel. 26
- 59.20 deg, 1.561 Å, rel. 30

```
14
Lattice="5.788 -2.348 0.000 5.788 2.348 0.000 -5.050 0.000 14.641" Properties=species:S:1:pos:R:3 pbc="T T T"
Sm -1.507 0.000 5.627
Sm -3.495 0.000 13.514
Sm 1.524 0.000 3.329
Sm 5.003 0.000 11.312
Sm 10.022 0.000 1.127
Sm 8.033 0.000 9.014
Tl 1.914 0.000 6.654
Tl -0.314 0.000 13.539
Tl 1.794 0.000 11.264
Tl 4.733 0.000 3.376
Tl 6.841 0.000 1.102
Tl 4.612 0.000 7.987
Ag -0.078 0.000 9.046
Ag 6.605 0.000 5.595
```